[1]
Structure and theoretical powder XRD pattern of GeAuBrN (a structure optimized by DFT (PBE); Cu Kα, 1.54184 Å).
Kinematic intensities with the Lorentz-polarization factor, no thermal factor.

Structure:
abc: 3.4308 3.4386 7.6747
angles: 90.02 102.83 119.67
Positions (direct):
Ge (0.0000, 0.0000, 0.0000)
Au (0.0868, 0.5504, 0.6290)
Br (0.8629, 0.4455, 0.2948)
N (0.2745, 0.6375, 0.9103)

The 8 most intense peaks (10° ≤ 2θ ≤ 80°), in order of falling intensity:
31.02 deg, intensity 100.0
31.18 deg, intensity 51.1
36.33 deg, intensity 51.0
30.21 deg, intensity 49.0
11.93 deg, intensity 46.1
41.60 deg, intensity 36.7
34.19 deg, intensity 24.5
30.37 deg, intensity 23.1

[2]
Structure and theoretical powder XRD pattern of CaCe4Se6 (a structure optimized by DFT (PBE); Cu Kα, 1.54184 Å).
Kinematic intensities with the Lorentz-polarization factor, no thermal factor.

Structure:
abc: 8.3604 8.3604 8.3604
angles: 90.62 90.62 90.62
Positions (direct):
Ca (0.0000, 0.0000, 0.0000)
Ca (0.5000, 0.5000, 0.5000)
Ce (0.1357, 0.7500, 0.3643)
Ce (0.2500, 0.2500, 0.2500)
Ce (0.2500, 0.6357, 0.8643)
Ce (0.3643, 0.1357, 0.7500)
Ce (0.6357, 0.8643, 0.2500)
Ce (0.7500, 0.3643, 0.1357)
Ce (0.7500, 0.7500, 0.7500)
Ce (0.8643, 0.2500, 0.6357)
Se (0.0606, 0.9140, 0.6809)
Se (0.0860, 0.3191, 0.9394)
Se (0.1809, 0.4140, 0.5606)
Se (0.3191, 0.9394, 0.0860)
Se (0.4140, 0.5606, 0.1809)
Se (0.4394, 0.8191, 0.5860)
Se (0.5606, 0.1809, 0.4140)
Se (0.5860, 0.4394, 0.8191)
Se (0.6809, 0.0606, 0.9140)
Se (0.8191, 0.5860, 0.4394)
Se (0.9140, 0.6809, 0.0606)
Se (0.9394, 0.0860, 0.3191)

The 8 most intense peaks (10° ≤ 2θ ≤ 80°), in order of falling intensity:
35.58 deg, intensity 100.0
31.96 deg, intensity 99.4
26.00 deg, intensity 75.7
34.03 deg, intensity 60.6
30.41 deg, intensity 46.3
40.18 deg, intensity 44.0
46.04 deg, intensity 35.4
64.70 deg, intensity 32.9

[3]
Structure and theoretical powder XRD pattern of Ho3S4Cl (a structure optimized by DFT (PBE); Cu Kα, 1.54184 Å).
Kinematic intensities with the Lorentz-polarization factor, no thermal factor.

Structure:
abc: 7.6748 7.6748 9.6666
angles: 109.09 109.09 53.24
Positions (direct):
Ho (0.0059, 0.9941, 0.5000)
Ho (0.3572, 0.3800, 0.2832)
Ho (0.3800, 0.3572, 0.7832)
Ho (0.5950, 0.6118, 0.6989)
Ho (0.6118, 0.5950, 0.1989)
Ho (0.9941, 0.0059, 0.0000)
S (0.0200, 0.3436, 0.1463)
S (0.1809, 0.7902, 0.2405)
S (0.2386, 0.5759, 0.5538)
S (0.3436, 0.0200, 0.6463)
S (0.4036, 0.7285, 0.9352)
S (0.5759, 0.2386, 0.0538)
S (0.7285, 0.4036, 0.4352)
S (0.7902, 0.1809, 0.7405)
Cl (0.6414, 0.9526, 0.3416)
Cl (0.9526, 0.6414, 0.8416)

The 8 most intense peaks (10° ≤ 2θ ≤ 80°), in order of falling intensity:
40.10 deg, intensity 100.0
26.66 deg, intensity 98.3
24.59 deg, intensity 83.6
38.31 deg, intensity 72.8
22.48 deg, intensity 68.8
19.54 deg, intensity 67.5
13.87 deg, intensity 66.0
37.56 deg, intensity 65.4

[4]
Structure and theoretical powder XRD pattern of Ac3Ir2O9 (a structure optimized by DFT (PBE); Cu Kα, 1.54184 Å).
Kinematic intensities with the Lorentz-polarization factor, no thermal factor.

Structure:
abc: 5.6168 5.6168 14.3220
angles: 90.00 90.00 120.00
Positions (direct):
Ac (0.0000, 0.0000, 0.2500)
Ac (0.0000, 0.0000, 0.7500)
Ac (0.3333, 0.6667, 0.0732)
Ac (0.3333, 0.6667, 0.4268)
Ac (0.6667, 0.3333, 0.5732)
Ac (0.6667, 0.3333, 0.9268)
Ir (0.3333, 0.6667, 0.6636)
Ir (0.3333, 0.6667, 0.8364)
Ir (0.6667, 0.3333, 0.1636)
Ir (0.6667, 0.3333, 0.3364)
O (0.0127, 0.5063, 0.2500)
O (0.1726, 0.3452, 0.5834)
O (0.1726, 0.3452, 0.9166)
O (0.1726, 0.8274, 0.5834)
O (0.1726, 0.8274, 0.9166)
O (0.3452, 0.1726, 0.0834)
O (0.3452, 0.1726, 0.4166)
O (0.4937, 0.5063, 0.2500)
O (0.4937, 0.9873, 0.2500)
O (0.5063, 0.0127, 0.7500)
O (0.5063, 0.4937, 0.7500)
O (0.6548, 0.8274, 0.5834)
O (0.6548, 0.8274, 0.9166)
O (0.8274, 0.1726, 0.0834)
O (0.8274, 0.1726, 0.4166)
O (0.8274, 0.6548, 0.0834)
O (0.8274, 0.6548, 0.4166)
O (0.9873, 0.4937, 0.7500)

The 8 most intense peaks (10° ≤ 2θ ≤ 80°), in order of falling intensity:
31.87 deg, intensity 100.0
36.40 deg, intensity 46.9
26.15 deg, intensity 34.2
22.09 deg, intensity 29.2
31.01 deg, intensity 28.7
49.14 deg, intensity 24.1
59.77 deg, intensity 22.8
56.78 deg, intensity 20.5

[5]
Structure and theoretical powder XRD pattern of Ta2Ti5Sb (a structure optimized by DFT (PBE); Cu Kα, 1.54184 Å).
Kinematic intensities with the Lorentz-polarization factor, no thermal factor.

Structure:
abc: 7.7338 7.7338 7.7338
angles: 126.05 126.05 79.81
Positions (direct):
Ta (0.1559, 0.6559, 0.8117)
Ta (0.3441, 0.1559, 0.5000)
Ta (0.6559, 0.8441, 0.5000)
Ta (0.8441, 0.3441, 0.1883)
Ti (0.0000, 0.0000, 0.0000)
Ti (0.0115, 0.8063, 0.5000)
Ti (0.1937, 0.6937, 0.2051)
Ti (0.3063, 0.5115, 0.5000)
Ti (0.4885, 0.9885, 0.7949)
Ti (0.5000, 0.5000, 0.0000)
Ti (0.5115, 0.0115, 0.2051)
Ti (0.6937, 0.4885, 0.5000)
Ti (0.8063, 0.3063, 0.7949)
Ti (0.9885, 0.1937, 0.5000)
Sb (0.2500, 0.2500, 0.0000)
Sb (0.7500, 0.7500, 0.0000)

The 8 most intense peaks (10° ≤ 2θ ≤ 80°), in order of falling intensity:
36.55 deg, intensity 100.0
40.66 deg, intensity 46.5
29.44 deg, intensity 37.9
14.93 deg, intensity 25.2
23.37 deg, intensity 21.4
30.13 deg, intensity 19.0
51.43 deg, intensity 18.7
29.58 deg, intensity 17.3

[6]
Structure and theoretical powder XRD pattern of Tm2Rh6C (a structure optimized by DFT (PBE); Cu Kα, 1.54184 Å).
Kinematic intensities with the Lorentz-polarization factor, no thermal factor.

Structure:
abc: 5.7698 5.7698 5.7698
angles: 60.00 60.00 60.00
Positions (direct):
Tm (0.2500, 0.2500, 0.2500)
Tm (0.7500, 0.7500, 0.7500)
Rh (0.2462, 0.2462, 0.7538)
Rh (0.2462, 0.7538, 0.2462)
Rh (0.2462, 0.7538, 0.7538)
Rh (0.7538, 0.2462, 0.2462)
Rh (0.7538, 0.2462, 0.7538)
Rh (0.7538, 0.7538, 0.2462)
C (0.5000, 0.5000, 0.5000)

The 8 most intense peaks (10° ≤ 2θ ≤ 80°), in order of falling intensity:
38.21 deg, intensity 100.0
44.41 deg, intensity 50.9
77.61 deg, intensity 37.1
64.61 deg, intensity 32.7
31.00 deg, intensity 5.2
21.78 deg, intensity 4.0
49.99 deg, intensity 2.2
55.14 deg, intensity 2.1

[7]
Structure and theoretical powder XRD pattern of AcBi2S4 (a structure optimized by DFT (PBE); Cu Kα, 1.54184 Å).
Kinematic intensities with the Lorentz-polarization factor, no thermal factor.

Structure:
abc: 7.9506 7.9506 7.9506
angles: 108.00 108.00 112.46
Positions (direct):
Ac (0.0000, 0.0000, 0.0000)
Ac (0.7500, 0.2500, 0.5000)
Bi (0.3601, 0.6250, 0.2351)
Bi (0.3750, 0.6399, 0.7649)
Bi (0.3899, 0.1250, 0.7649)
Bi (0.8750, 0.6101, 0.2351)
S (0.0546, 0.7459, 0.6713)
S (0.0746, 0.3833, 0.3287)
S (0.1333, 0.3046, 0.8087)
S (0.2541, 0.9454, 0.3287)
S (0.4959, 0.3246, 0.1913)
S (0.6167, 0.9254, 0.6713)
S (0.6754, 0.5041, 0.8087)
S (0.6954, 0.8667, 0.1913)

The 8 most intense peaks (10° ≤ 2θ ≤ 80°), in order of falling intensity:
23.54 deg, intensity 100.0
36.11 deg, intensity 53.6
31.85 deg, intensity 43.9
27.78 deg, intensity 35.1
38.53 deg, intensity 31.8
49.63 deg, intensity 27.6
18.99 deg, intensity 23.8
36.57 deg, intensity 21.8

[8]
Structure and theoretical powder XRD pattern of YTeBr2 (a structure optimized by DFT (PBE); Cu Kα, 1.54184 Å).
Kinematic intensities with the Lorentz-polarization factor, no thermal factor.

Structure:
abc: 7.4158 7.4158 7.6378
angles: 117.90 117.90 27.62
Positions (direct):
Y (0.0000, 0.0000, 0.0000)
Te (0.6729, 0.6729, 0.3437)
Br (0.3495, 0.3495, 0.9956)
Br (0.5121, 0.5121, 0.7300)

The 8 most intense peaks (10° ≤ 2θ ≤ 80°), in order of falling intensity:
13.90 deg, intensity 100.0
23.58 deg, intensity 77.7
30.95 deg, intensity 57.1
23.33 deg, intensity 54.6
24.73 deg, intensity 51.5
35.05 deg, intensity 46.4
35.59 deg, intensity 45.7
31.55 deg, intensity 44.1